Theoretical powder diffractogram
Compound: K2Mo3O9
Radiation: CuKα
Structure: DFT lattice parameters and positions (GGA+U)

Principal peaks in the range 10° ≤ 2θ ≤ 80°, most intense first:
7.023 Å, I 100; 7.661 Å, I 69; 7.168 Å, I 66; 3.831 Å, I 57; 4.208 Å, I 56; 7.434 Å, I 55; 2.927 Å, I 45; 3.022 Å, I 43; 2.091 Å, I 42; 5.335 Å, I 39

Structural model:
Cell lengths 8.823, 8.823, 8.897 Å; angles 105.89, 105.89, 114.84 degrees
Fractional coordinates of all 28 atoms:
K (0.071, 0.763, 0.710)
K (0.237, 0.929, 0.290)
K (0.763, 0.071, 0.710)
K (0.929, 0.237, 0.290)
Mo (0.218, 0.449, 0.794)
Mo (0.321, 0.321, 0.121)
Mo (0.449, 0.218, 0.794)
Mo (0.551, 0.782, 0.206)
Mo (0.679, 0.679, 0.879)
Mo (0.782, 0.551, 0.206)
O (0.012, 0.407, 0.643)
O (0.136, 0.313, 0.933)
O (0.191, 0.191, 0.208)
O (0.243, 0.243, 0.678)
O (0.313, 0.136, 0.933)
O (0.318, 0.682, 0.000)
O (0.394, 0.572, 0.249)
O (0.407, 0.012, 0.643)
O (0.428, 0.606, 0.751)
O (0.572, 0.394, 0.249)
O (0.593, 0.988, 0.357)
O (0.606, 0.428, 0.751)
O (0.682, 0.318, 0.000)
O (0.687, 0.864, 0.067)
O (0.757, 0.757, 0.322)
O (0.809, 0.809, 0.792)
O (0.864, 0.687, 0.067)
O (0.988, 0.593, 0.357)